The following is a simulated powder diffractogram of Nb3FeBi6O18. It was derived from a GGA+U-relaxed structure, using copper Kα.
Lines closer than 0.1° are merged.

Atomic structure:
Cell lengths 5.515, 5.598, 13.225 Å; angles 90.06, 101.58, 90.02 degrees
Space group P1 (No. 1)
Symmetry-distinct sites (fractional):
Nb  0.000  0.000  0.000 (multiplicity 1)
Nb  0.167  0.010  0.346 (multiplicity 1)
Nb  0.502  0.498  0.999 (multiplicity 1)
Fe  0.665  0.505  0.340 (multiplicity 1)
Bi  0.084  0.453  0.184 (multiplicity 1)
Bi  0.334  0.420  0.568 (multiplicity 1)
Bi  0.365  0.928  0.762 (multiplicity 1)
Bi  0.589  0.952  0.183 (multiplicity 1)
Bi  0.769  0.890  0.563 (multiplicity 1)
Bi  0.919  0.410  0.765 (multiplicity 1)
O  0.015  0.027  0.860 (multiplicity 1)
O  0.082  0.693  0.666 (multiplicity 1)
O  0.109  0.193  0.668 (multiplicity 1)
O  0.245  0.749  0.044 (multiplicity 1)
O  0.307  0.246  0.046 (multiplicity 1)
O  0.311  0.002  0.485 (multiplicity 1)
O  0.351  0.510  0.860 (multiplicity 1)
O  0.355  0.747  0.294 (multiplicity 1)
O  0.426  0.236  0.295 (multiplicity 1)
O  0.582  0.691  0.670 (multiplicity 1)
O  0.603  0.188  0.670 (multiplicity 1)
O  0.666  0.527  0.484 (multiplicity 1)
O  0.668  0.551  0.171 (multiplicity 1)
O  0.704  0.816  0.993 (multiplicity 1)
O  0.797  0.319  0.995 (multiplicity 1)
O  0.859  0.834  0.339 (multiplicity 1)
O  0.982  0.328  0.338 (multiplicity 1)
O  0.997  0.051  0.167 (multiplicity 1)

Principal peaks in the range 2θ from 10° to 90°, in order of rising 2θ:
d [Å], I_rel, h k l
6.478, 31, 0 0 2
3.884, 22, -1 1 1
3.139, 100, 1 -1 2
3.122, 97, 1 1 -3
2.799, 32, 0 2 0
2.757, 33, 2 0 -1
2.591, 25, 0 0 5
1.964, 29, 2 2 -1
1.902, 22, 0 2 -5
1.881, 16, 2 0 -6
1.659, 15, 3 1 1
1.651, 15, 3 1 -4